Structure and simulated XRD peak list of H3WF9 (a GGA+U-relaxed structure; Cu Ka).
Peak positions follow from Bragg's law for the DFT cell and can differ from measured ones.

Peak list (10 most intense, 2θ from 10° to 80°, low angle first)
two_theta, intensity
15.37, 46
16.26, 100
18.06, 40
21.93, 59
22.81, 24
22.95, 61
24.75, 15
32.86, 16
33.29, 18
35.82, 23

Structure:
abc: 7.9910 7.9910 9.8551
angles: 123.91 123.91 48.42
Element x y z (fractional)
H1 0.0188 0.9812 0.5000
H2 0.1610 0.7597 0.1093
H3 0.2415 0.7833 0.3498
H4 0.7597 0.1610 0.6093
H5 0.7833 0.2415 0.8498
H6 0.9812 0.0188 0.0000
W1 0.4898 0.9971 0.0013
W2 0.9971 0.4898 0.5013
F1 0.0544 0.8075 0.9998
F2 0.1608 0.1876 0.3618
F3 0.1739 0.9277 0.4987
F4 0.1876 0.1608 0.8618
F5 0.1955 0.5687 0.5348
F6 0.2047 0.3822 0.6944
F7 0.3027 0.6812 0.2484
F8 0.3822 0.2047 0.1944
F9 0.4118 0.7980 0.9681
F10 0.5687 0.1955 0.0348
F11 0.5968 0.7898 0.8080
F12 0.6812 0.3027 0.7484
F13 0.7898 0.5968 0.3080
F14 0.7921 0.8336 0.1410
F15 0.7980 0.4118 0.4681
F16 0.8075 0.0544 0.4998
F17 0.8336 0.7921 0.6410
F18 0.9277 0.1739 0.9987